Calculated powder diffractogram of AlV4S8 for Cu Kα X-rays, from a crystal structure in the Materials Project, relaxed with GGA-PBE.

Most intense lines, 10 to 90 degrees two-theta, by angle:
- d = 5.608 Å, I 64
- d = 4.856 Å, I 10
- d = 2.928 Å, I 44
- d = 2.428 Å, I 100
- d = 2.228 Å, I 16
- d = 1.983 Å, I 23
- d = 1.869 Å, I 35
- d = 1.717 Å, I 71
- d = 1.402 Å, I 16
- d = 1.145 Å, I 14

Crystal structure
```
data_AlV4S8
_cell_length_a 6.868
_cell_length_b 6.868
_cell_length_c 6.868
_cell_angle_alpha 60.00
_cell_angle_beta 60.00
_cell_angle_gamma 60.00
_space_group_name_H-M_alt 'P 1'
_space_group_IT_number 1
loop_
_space_group_symop_operation_xyz
'x,y,z'
loop_
_atom_site_label
_atom_site_type_symbol
_atom_site_fract_x
_atom_site_fract_y
_atom_site_fract_z
Al1 Al 0.000 0.000 0.000
V1 V 0.394 0.394 0.394
V2 V 0.394 0.394 0.817
V3 V 0.394 0.817 0.394
V4 V 0.817 0.394 0.394
S1 S 0.112 0.629 0.629
S2 S 0.135 0.135 0.135
S3 S 0.135 0.135 0.594
S4 S 0.135 0.594 0.135
S5 S 0.594 0.135 0.135
S6 S 0.629 0.112 0.629
S7 S 0.629 0.629 0.112
S8 S 0.629 0.629 0.629
```